Simulated powder diffraction line list of Nb5VFe2Se20 for CuKα, from a GGA-PBE-relaxed structure.

Structure:
Cell lengths 10.0196, 3.5096, 18.9688 Å; angles 90.00, 98.24, 90.00 degrees
Space group Pm (No. 6)
Unique sites:
1 Nb 0.0000 0.0000 0.0000
2 Nb 0.0314 0.0000 0.2769
3 Nb 0.2219 0.5000 0.6337
4 Nb 0.5031 0.0000 0.5043
5 Nb 0.7182 0.5000 0.1291
6 V 0.5303 0.0000 0.7749
7 Fe 0.2053 0.5000 0.3714
8 Fe 0.7043 0.5000 0.8669
9 Se 0.0408 0.0000 0.5690
10 Se 0.0611 0.0000 0.4070
11 Se 0.0733 0.0000 0.6954
12 Se 0.1496 0.5000 0.9389
13 Se 0.1798 0.5000 0.0648
14 Se 0.1978 0.5000 0.2435
15 Se 0.3037 0.5000 0.4985
16 Se 0.3401 0.5000 0.7727
17 Se 0.3754 0.0000 0.3674
18 Se 0.4220 0.0000 0.6376
19 Se 0.5387 0.0000 0.0626
20 Se 0.5589 0.0000 0.8987
21 Se 0.5662 0.0000 0.1887
22 Se 0.6505 0.5000 0.4420
23 Se 0.6827 0.5000 0.7414
24 Se 0.6841 0.5000 0.5682
25 Se 0.8006 0.5000 0.9938
26 Se 0.8282 0.5000 0.2707
27 Se 0.8739 0.0000 0.8628
28 Se 0.9189 0.0000 0.1329

Most intense lines, 2θ from 15° to 90°, by intensity:
31.22°, intensity 100
15.62°, intensity 49
35.92°, intensity 37
37.17°, intensity 36
42.37°, intensity 35
38.66°, intensity 30
52.12°, intensity 24
17.85°, intensity 22
44.49°, intensity 22
56.31°, intensity 14
64.93°, intensity 14
41.59°, intensity 12



Simulated powder diffraction line list of Dy4FeTe for CuKα, from a GGA-PBE-relaxed structure.

Structure:
Cell lengths 8.1681, 3.9302, 19.2915 Å; angles 90.00, 90.00, 90.00 degrees
Space group Pnma (No. 62)
Unique sites:
1 Dy 0.0086 0.2500 0.0670
2 Dy 0.0440 0.7500 0.2155
3 Dy 0.1399 0.7500 0.6431
4 Dy 0.1434 0.7500 0.4540
5 Fe 0.2453 0.2500 0.5515
6 Te 0.2434 0.2500 0.3114

Most intense lines, 2θ from 15° to 90°, by intensity:
31.34°, intensity 100
34.61°, intensity 61
31.92°, intensity 51
34.35°, intensity 42
33.23°, intensity 40
31.59°, intensity 37
46.20°, intensity 33
32.52°, intensity 33
39.47°, intensity 21
37.95°, intensity 20
58.79°, intensity 20
58.09°, intensity 16